No. 1
Theoretical PXRD pattern of Ag4Se2F for CuKα, from DFT lattice parameters and positions (GGA-PBE).

Atomic structure:
abc: 4.850 4.850 16.661
angles: 90.00 90.00 134.27
Fractional positions:
Ag1 0.000 0.000 0.000
Ag2 0.000 0.000 0.500
Ag3 0.325 0.675 0.644
Ag4 0.325 0.675 0.856
Ag5 0.401 0.599 0.250
Ag6 0.599 0.401 0.750
Ag7 0.675 0.325 0.144
Ag8 0.675 0.325 0.356
Se1 0.383 0.617 0.093
Se2 0.383 0.617 0.407
Se3 0.617 0.383 0.593
Se4 0.617 0.383 0.907
F1 0.113 0.887 0.250
F2 0.887 0.113 0.750

Most intense lines, 10° ≤ 2θ ≤ 90°, in order of rising 2θ:
2θ/deg, intensity
25.65, 38.5
27.83, 51.9
29.31, 54.9
33.57, 100.0
37.40, 74.5
38.51, 79.0
38.91, 37.7
40.74, 20.3
41.64, 33.3
48.29, 39.9

No. 2
Theoretical PXRD pattern of Sr2PmCd12Au3 for CuKα, from DFT lattice parameters and positions (GGA-PBE).

Atomic structure:
abc: 10.991 10.991 10.991
angles: 39.98 39.98 39.98
Fractional positions:
Sr1 0.142 0.142 0.142
Sr2 0.858 0.858 0.858
Pm1 0.500 0.500 0.500
Cd1 0.038 0.626 0.626
Cd2 0.182 0.182 0.777
Cd3 0.182 0.777 0.182
Cd4 0.223 0.818 0.818
Cd5 0.374 0.374 0.962
Cd6 0.374 0.962 0.374
Cd7 0.626 0.038 0.626
Cd8 0.626 0.626 0.038
Cd9 0.777 0.182 0.182
Cd10 0.818 0.223 0.818
Cd11 0.818 0.818 0.223
Cd12 0.962 0.374 0.374
Au1 0.000 0.500 0.500
Au2 0.500 0.000 0.500
Au3 0.500 0.500 0.000

Most intense lines, 10° ≤ 2θ ≤ 90°, in order of rising 2θ:
2θ/deg, intensity
25.29, 87.6
27.57, 100.0
31.20, 44.9
32.60, 43.4
34.48, 56.1
35.39, 69.4
36.65, 73.6
40.69, 96.3
43.03, 45.7
48.45, 73.7

No. 3
Theoretical PXRD pattern of Th4H4Pb3 for CuKα, from DFT lattice parameters and positions (GGA-PBE).

Atomic structure:
abc: 7.961 7.961 7.961
angles: 141.81 129.46 65.07
Fractional positions:
Th1 0.237 0.237 0.000
Th2 0.258 0.500 0.758
Th3 0.742 0.500 0.242
Th4 0.763 0.763 0.000
H1 0.034 0.325 0.709
H2 0.384 0.675 0.709
H3 0.616 0.325 0.291
H4 0.966 0.675 0.291
Pb1 0.000 0.000 0.000
Pb2 0.381 0.881 0.500
Pb3 0.619 0.119 0.500

Most intense lines, 10° ≤ 2θ ≤ 90°, in order of rising 2θ:
2θ/deg, intensity
26.24, 32.2
26.56, 12.7
29.46, 18.4
32.15, 69.6
34.43, 100.0
35.96, 13.2
51.75, 18.0
60.25, 12.0
61.67, 15.0
71.40, 13.2

No. 4
Theoretical PXRD pattern of LaMg2Zr for CuKα, from DFT lattice parameters and positions (GGA-PBE).

Atomic structure:
abc: 11.412 3.389 5.729
angles: 90.00 111.18 90.00
Fractional positions:
La1 0.000 0.000 0.000
La2 0.500 0.500 0.000
Mg1 0.006 0.500 0.507
Mg2 0.268 0.500 0.350
Mg3 0.506 0.000 0.507
Mg4 0.768 0.000 0.350
Zr1 0.240 0.000 0.826
Zr2 0.740 0.500 0.826

Most intense lines, 10° ≤ 2θ ≤ 90°, in order of rising 2θ:
2θ/deg, intensity
16.60, 97.7
18.81, 21.8
27.62, 59.6
31.59, 48.5
31.70, 24.3
33.69, 52.4
33.98, 100.0
36.32, 80.3
43.05, 27.8
43.44, 21.1